No. 1
Calculated PXRD pattern of Cd2InMo for Cu Kα, from DFT lattice parameters and positions (PBE).

Structural model:
a b c (Å): 5.8152 9.1748 2.9839
angles (deg): 90.00 90.00 90.00
Space group Cmmm (No. 65)
One atom of each set of equivalent atoms:
Cd: 0.2500 0.2500 0.0000 [4 per cell]
In: 0.0000 0.0000 0.5000 [2 per cell]
Mo: 0.0000 0.5000 0.5000 [2 per cell]

Principal peaks in the range 2θ = 10–90°, most intense first:
d 2.501, 35.90 deg, I = 1000, hkl 0 2 1; d 2.456, 36.59 deg, I = 948, hkl 2 2 0; d 2.082, 43.46 deg, I = 577, hkl 2 0 1; d 1.542, 60.00 deg, I = 426, hkl 2 4 1; d 2.294, 39.28 deg, I = 388, hkl 0 4 0; d 1.275, 74.40 deg, I = 223, hkl 2 2 2

No. 2
Calculated PXRD pattern of Y2CdInN for Cu Kα, from DFT lattice parameters and positions (PBE).

Structural model:
a b c (Å): 5.6840 5.6840 5.0300
angles (deg): 90.00 90.00 90.00
Space group P4/mmm (No. 123)
One atom of each set of equivalent atoms:
Y: 0.0000 0.5000 0.0000 [2 per cell]
Cd: 0.0000 0.0000 0.5000 [1 per cell]
In: 0.0000 0.0000 0.0000 [1 per cell]
N: 0.5000 0.5000 0.5000 [1 per cell]

Principal peaks in the range 2θ = 10–90°, most intense first:
d 5.684, 15.59 deg, I = 1000, hkl 1 0 0; d 2.842, 31.48 deg, I = 716, hkl 2 0 0; d 1.883, 48.32 deg, I = 415, hkl 2 0 2; d 3.140, 28.43 deg, I = 388, hkl 1 1 1; d 2.542, 35.31 deg, I = 274, hkl 2 1 0; d 2.010, 45.12 deg, I = 256, hkl 2 2 0